This entry pairs a crystal structure of BaTh2PN5 with its calculated X-ray powder pattern. Radiation: Cu Kα (weighted mean of Kα1 and Kα2). Structure: a GGA-PBE-relaxed structure.
No peak broadening, texture or thermal motion is included.

The 8 most intense peaks (10° ≤ 2θ ≤ 90°), in order of falling intensity:
h k l  2theta  intensity
2 0 1  30.3  100
2 1 1  33.1  73
0 0 1  15.4  47
2 1 2  43.2  42
0 0 2  31.2  37
2 1 0  29.1  36
4 1 1  57.6  28
2 2 0  37.0  21

Structure:
a = 6.868 Å, b = 6.868 Å, c = 5.735 Å
α = 90.00°, β = 90.00°, γ = 90.00°
Space group P4/mbm (No. 127)
Symmetry-distinct sites (fractional):
Ba 0.000 0.000 0.000 (multiplicity 2)
Th 0.185 0.315 0.500 (multiplicity 4)
P 0.000 0.500 0.000 (multiplicity 2)
N 0.000 0.000 0.500 (multiplicity 2)
N 0.126 0.626 0.220 (multiplicity 8)


This entry pairs a crystal structure of Ba2TmP2N6 with its calculated X-ray powder pattern. Radiation: Cu Kα (weighted mean of Kα1 and Kα2). Structure: a GGA-PBE-relaxed structure.
No peak broadening, texture or thermal motion is included.

The 8 most intense peaks (10° ≤ 2θ ≤ 90°), in order of falling intensity:
h k l  2theta  intensity
0 1 5  30.2  100
1 1 0  30.5  94
1 0 4  26.3  44
1 0 1  18.2  40
1 2 5  54.1  37
2 0 5  43.5  34
0 2 4  40.7  27
1 1 9  55.2  25

Structure:
a = 5.8578 Å, b = 5.8578 Å, c = 18.2045 Å
α = 90.00°, β = 90.00°, γ = 120.00°
Space group R-3m (No. 166, hexagonal axes)
Symmetry-distinct sites (fractional):
Ba 0.0000 0.0000 0.2140 (multiplicity 6)
Tm 0.0000 0.0000 0.0000 (multiplicity 3)
P 0.0000 0.0000 0.4131 (multiplicity 6)
N 0.0219 0.5110 0.2530 (multiplicity 18)


This entry pairs a crystal structure of Ba3TmP2N6 with its calculated X-ray powder pattern. Radiation: Cu Kα (weighted mean of Kα1 and Kα2). Structure: a GGA-PBE-relaxed structure.
No peak broadening, texture or thermal motion is included.

The 8 most intense peaks (10° ≤ 2θ ≤ 90°), in order of falling intensity:
h k l  2theta  intensity
1 1 0  30.1  100
3 0 0  53.3  29
2 0 2  43.0  24
3 1 2  70.8  14
4 1 0  86.5  11
1 0 1  21.1  10
1 0 0  17.2  10
0 0 1  12.2  10

Structure:
a = 5.9538 Å, b = 5.9538 Å, c = 7.2696 Å
α = 90.00°, β = 90.00°, γ = 120.00°
Space group P-3m1 (No. 164)
Symmetry-distinct sites (fractional):
Ba 0.0000 0.0000 0.0000 (multiplicity 1)
Ba 0.3333 0.6667 0.6951 (multiplicity 2)
Tm 0.0000 0.0000 0.5000 (multiplicity 1)
P 0.3333 0.6667 0.2693 (multiplicity 2)
N 0.1795 0.3590 0.3015 (multiplicity 6)


Please write out number 1 again, unchanged.
This entry pairs a crystal structure of BaTh2PN5 with its calculated X-ray powder pattern. Radiation: Cu Kα (weighted mean of Kα1 and Kα2). Structure: a GGA-PBE-relaxed structure.
No peak broadening, texture or thermal motion is included.

The 8 most intense peaks (10° ≤ 2θ ≤ 90°), in order of falling intensity:
h k l  2theta  intensity
2 0 1  30.3  100
2 1 1  33.1  73
0 0 1  15.4  47
2 1 2  43.2  42
0 0 2  31.2  37
2 1 0  29.1  36
4 1 1  57.6  28
2 2 0  37.0  21

Structure:
a = 6.868 Å, b = 6.868 Å, c = 5.735 Å
α = 90.00°, β = 90.00°, γ = 90.00°
Space group P4/mbm (No. 127)
Symmetry-distinct sites (fractional):
Ba 0.000 0.000 0.000 (multiplicity 2)
Th 0.185 0.315 0.500 (multiplicity 4)
P 0.000 0.500 0.000 (multiplicity 2)
N 0.000 0.000 0.500 (multiplicity 2)
N 0.126 0.626 0.220 (multiplicity 8)